This entry pairs a crystal structure of TbCdNi4 with its simulated PXRD pattern. Radiation: a wavelength of 1.5418 Å. Structure: a crystal structure in the Materials Project, relaxed with GGA-PBE.
Intensities are scaled so that the largest is 100.

Structural model:
Cell: 4.974 4.974 4.974 Å, 60.00 60.00 60.00°
Fractional coordinates of all 6 atoms:
Tb 0.000 0.000 0.000
Cd 0.750 0.750 0.750
Ni 0.376 0.376 0.376
Ni 0.376 0.376 0.872
Ni 0.376 0.872 0.376
Ni 0.872 0.376 0.376

Peak list (8 most intense, 10 to 90 degrees two-theta, in order of falling intensity)
2theta, Rel. int.
42.6, 100
36.1, 56
69.4, 30
76.6, 22
65.0, 20
44.6, 19
87.8, 9
21.9, 8

This entry pairs a crystal structure of TcC4NO4 with its simulated PXRD pattern. Radiation: a wavelength of 1.5418 Å. Structure: a crystal structure in the Materials Project, relaxed with GGA-PBE.
Intensities are scaled so that the largest is 100.

Structural model:
Cell: 11.411 14.370 5.085 Å, 90.00 90.00 90.00°
Fractional coordinates of all 40 atoms:
Tc 0.246 0.233 0.059
Tc 0.254 0.733 0.941
Tc 0.746 0.267 0.941
Tc 0.754 0.767 0.059
C 0.056 0.936 0.499
C 0.061 0.491 0.314
C 0.091 0.440 0.554
C 0.107 0.878 0.634
C 0.393 0.378 0.366
C 0.409 0.940 0.446
C 0.439 0.991 0.686
C 0.444 0.436 0.501
C 0.556 0.564 0.501
C 0.561 0.009 0.686
C 0.591 0.060 0.446
C 0.607 0.622 0.366
C 0.893 0.122 0.634
C 0.909 0.560 0.554
C 0.939 0.509 0.314
C 0.944 0.064 0.499
N 0.000 0.000 0.368
N 0.000 0.500 0.618
N 0.500 0.000 0.382
N 0.500 0.500 0.632
O 0.102 0.263 0.114
O 0.150 0.825 0.807
O 0.228 0.624 0.819
O 0.228 0.732 0.274
O 0.272 0.124 0.181
O 0.272 0.232 0.726
O 0.350 0.325 0.193
O 0.398 0.763 0.886
O 0.602 0.237 0.886
O 0.650 0.675 0.193
O 0.728 0.768 0.726
O 0.728 0.876 0.181
O 0.772 0.268 0.274
O 0.772 0.376 0.819
O 0.850 0.175 0.807
O 0.898 0.737 0.114

Peak list (8 most intense, 10 to 90 degrees two-theta, in order of falling intensity)
2theta, Rel. int.
19.9, 100
21.4, 74
12.3, 62
23.4, 49
15.5, 35
26.5, 32
20.1, 27
36.7, 18

This entry pairs a crystal structure of EuYO2 with its simulated PXRD pattern. Radiation: a wavelength of 1.5418 Å. Structure: a crystal structure in the Materials Project, relaxed with GGA-PBE.
Intensities are scaled so that the largest is 100.

Structural model:
Cell: 6.183 6.183 6.183 Å, 32.59 32.59 32.59°
Fractional coordinates of all 4 atoms:
Eu 0.000 0.000 0.000
Y 0.500 0.500 0.500
O 0.238 0.238 0.238
O 0.762 0.762 0.762

Peak list (8 most intense, 10 to 90 degrees two-theta, in order of falling intensity)
2theta, Rel. int.
36.2, 100
31.5, 85
51.6, 34
52.8, 33
30.6, 31
62.2, 26
65.7, 16
89.0, 14

What is the formula in the third record? EuYO2